(1)
Structure and simulated X-ray diffraction stick pattern of K2AcSmSe4 (a PBE-relaxed structure; Cu Kα, 1.54184 Å).

Main lines, most intense first (2θ = 15–90°):
Position (°2θ), d_spacing, I/Imax
27.8, 3.205, 100
38.9, 2.313, 36
40.6, 2.222, 25
50.0, 1.826, 19
35.8, 2.509, 19
23.4, 3.795, 18
66.3, 1.410, 16
40.6, 2.220, 13
57.5, 1.602, 11
49.3, 1.847, 10
42.3, 2.136, 10
63.9, 1.457, 9

Crystal structure
```
K2AcSmSe4
1.0
7.7008 0.0000 0.0000
0.0000 4.4393 0.0000
-2.5559 0.0000 7.7201
K Ac Sm Se
2 1 1 4
direct
0.0000 0.0000 0.0000
0.5000 0.5000 0.0000
0.0000 0.5000 0.5000
0.5000 0.0000 0.5000
0.2517 0.0000 0.7159
0.2752 0.5000 0.2900
0.7248 0.5000 0.7100
0.7483 0.0000 0.2841
```

(2)
Structure and simulated X-ray diffraction stick pattern of Pu3Pd12Pb (a PBE-relaxed structure; Cu Kα, 1.54184 Å).

Main lines, most intense first (2θ = 15–90°):
Position (°2θ), d_spacing, I/Imax
37.5, 2.395, 100
43.6, 2.074, 49
63.4, 1.467, 32
76.1, 1.250, 25
21.4, 4.149, 13
76.0, 1.252, 13
30.5, 2.934, 12
80.1, 1.198, 11
49.1, 1.855, 7
54.1, 1.694, 5
67.7, 1.383, 2
88.1, 1.109, 2

Crystal structure
```
Pu3Pd12Pb
1.0
4.1465 0.0000 0.0000
0.0000 4.1465 0.0000
0.0000 0.0000 16.6145
Pu Pd Pb
3 12 1
direct
0.0000 0.0000 0.0000
0.0000 0.0000 0.2514
0.0000 0.0000 0.7486
0.0000 0.5000 0.1259
0.0000 0.5000 0.3753
0.0000 0.5000 0.6247
0.0000 0.5000 0.8741
0.5000 0.0000 0.1259
0.5000 0.0000 0.3753
0.5000 0.0000 0.6247
0.5000 0.0000 0.8741
0.5000 0.5000 0.0000
0.5000 0.5000 0.2522
0.5000 0.5000 0.5000
0.5000 0.5000 0.7478
0.0000 0.0000 0.5000
```

(3)
Structure and simulated X-ray diffraction stick pattern of Tb2Zn2GaPd5 (a PBE-relaxed structure; Cu Kα, 1.54184 Å).

Main lines, most intense first (2θ = 15–90°):
Position (°2θ), d_spacing, I/Imax
38.0, 2.370, 100
41.3, 2.185, 30
31.7, 2.823, 19
49.3, 1.850, 16
39.1, 2.302, 15
63.9, 1.458, 15
35.6, 2.524, 15
66.3, 1.410, 11
44.5, 2.038, 9
30.3, 2.949, 8
64.6, 1.442, 7
75.4, 1.261, 7

Crystal structure
```
Tb2Zn2GaPd5
1.0
9.7648 0.0000 0.0000
0.0000 9.7648 0.0000
0.0000 0.0000 3.6995
Tb Zn Ga Pd
4 4 2 10
direct
0.1752 0.3248 0.0000
0.3248 0.8248 0.0000
0.6752 0.1752 0.0000
0.8248 0.6752 0.0000
0.1230 0.6230 0.0000
0.3770 0.1230 0.0000
0.6230 0.8770 0.0000
0.8770 0.3770 0.0000
0.0000 0.0000 0.0000
0.5000 0.5000 0.0000
0.0000 0.5000 0.5000
0.0625 0.7985 0.5000
0.2015 0.0625 0.5000
0.2985 0.5625 0.5000
0.4375 0.2985 0.5000
0.5000 0.0000 0.5000
0.5625 0.7015 0.5000
0.7015 0.4375 0.5000
0.7985 0.9375 0.5000
0.9375 0.2015 0.5000
```

(4)
Structure and simulated X-ray diffraction stick pattern of AcZn3Ag5 (a PBE-relaxed structure; Cu Kα, 1.54184 Å).

Main lines, most intense first (2θ = 15–90°):
Position (°2θ), d_spacing, I/Imax
35.2, 2.552, 100
29.9, 2.992, 89
30.1, 2.970, 87
42.9, 2.110, 66
32.1, 2.784, 56
39.8, 2.266, 49
42.2, 2.143, 47
40.9, 2.208, 43
29.1, 3.071, 39
51.1, 1.788, 30
24.2, 3.681, 26
43.6, 2.076, 24

Crystal structure
```
AcZn3Ag5
1.0
2.1102 -6.7157 0.0000
2.1102 6.7157 0.0000
0.0000 0.0000 13.2016
Ac Zn Ag
2 6 10
direct
0.1407 0.8593 0.7500
0.8593 0.1407 0.2500
0.1525 0.8475 0.2500
0.3899 0.6101 0.0563
0.3899 0.6101 0.4437
0.6101 0.3899 0.5563
0.6101 0.3899 0.9437
0.8475 0.1525 0.7500
0.0000 0.0000 0.0000
0.0000 0.0000 0.5000
0.2004 0.7996 0.0571
0.2004 0.7996 0.4429
0.4303 0.5697 0.6458
0.4303 0.5697 0.8542
0.5697 0.4303 0.1458
0.5697 0.4303 0.3542
0.7996 0.2004 0.5571
0.7996 0.2004 0.9429
```

(5)
Structure and simulated X-ray diffraction stick pattern of PmEr2Sc5 (a PBE-relaxed structure; Cu Kα, 1.54184 Å).

Main lines, most intense first (2θ = 15–90°):
Position (°2θ), d_spacing, I/Imax
32.6, 2.750, 100
37.5, 2.400, 34
54.7, 1.677, 22
18.9, 4.689, 22
26.3, 3.395, 20
38.4, 2.345, 16
16.1, 5.502, 16
64.4, 1.446, 14
64.6, 1.443, 13
65.8, 1.420, 12
42.3, 2.137, 12
47.1, 1.929, 9

Crystal structure
```
PmEr2Sc5
1.0
6.7776 0.0000 0.0000
0.0000 6.8016 0.0000
0.0000 0.0000 9.3788
Pm Er Sc
2 4 10
direct
0.0000 0.0000 0.0000
0.5000 0.5000 0.5000
0.0000 0.0000 0.4992
0.0000 0.5000 0.9999
0.5000 0.0000 0.4999
0.5000 0.5000 0.9992
0.0000 0.5000 0.4994
0.2495 0.2498 0.7496
0.2495 0.7502 0.7496
0.2505 0.2502 0.2496
0.2505 0.7498 0.2496
0.5000 0.0000 0.9994
0.7495 0.2502 0.2496
0.7495 0.7498 0.2496
0.7505 0.2498 0.7496
0.7505 0.7502 0.7496
```

(6)
Structure and simulated X-ray diffraction stick pattern of LiReCl5 (a PBE-relaxed structure; Cu Kα, 1.54184 Å).

Main lines, most intense first (2θ = 15–90°):
Position (°2θ), d_spacing, I/Imax
21.2, 4.187, 100
21.9, 4.052, 69
17.4, 5.092, 56
34.4, 2.608, 38
41.9, 2.156, 26
28.5, 3.131, 25
42.3, 2.138, 25
32.8, 2.730, 24
48.9, 1.863, 23
22.6, 3.932, 23
28.1, 3.173, 21
39.4, 2.288, 19

Crystal structure
```
LiReCl5
1.0
4.7303 -5.0916 0.0000
4.7303 5.0916 0.0000
-4.6990 0.0000 7.8648
Li Re Cl
2 2 10
direct
0.1202 0.8798 0.7500
0.8798 0.1202 0.2500
0.0000 0.5000 0.0000
0.5000 0.0000 0.5000
0.1437 0.2007 0.9718
0.1588 0.5834 0.8338
0.2007 0.1437 0.4718
0.3306 0.6694 0.2500
0.4166 0.8412 0.6662
0.5834 0.1588 0.3338
0.6694 0.3306 0.7500
0.7993 0.8563 0.5282
0.8412 0.4166 0.1662
0.8563 0.7993 0.0282
```

(7)
Structure and simulated X-ray diffraction stick pattern of Sb3TeI7 (a PBE-relaxed structure; Cu Kα, 1.54184 Å).

Main lines, most intense first (2θ = 15–90°):
Position (°2θ), d_spacing, I/Imax
26.4, 3.377, 100
26.5, 3.360, 65
41.4, 2.179, 53
33.8, 2.650, 34
33.6, 2.664, 34
43.6, 2.078, 28
43.3, 2.091, 20
49.9, 1.828, 18
23.8, 3.744, 17
49.7, 1.833, 11
48.6, 1.872, 10
61.5, 1.509, 10

Crystal structure
```
Sb3TeI7
1.0
7.4892 -4.3580 0.0000
7.4892 4.3580 0.0000
-7.4223 0.0000 7.5490
Sb Te I
3 1 7
direct
0.0000 0.0000 0.0000
0.0006 0.4869 0.4859
0.4869 0.0006 0.4859
0.0481 0.0481 0.3258
0.0444 0.5506 0.8262
0.4454 0.4454 0.6509
0.4471 0.9535 0.1590
0.5498 0.5498 0.3294
0.5506 0.0444 0.8262
0.9535 0.4471 0.1590
0.9598 0.9598 0.6550
```

(8)
Structure and simulated X-ray diffraction stick pattern of Mg2BPb (a PBE-relaxed structure; Cu Kα, 1.54184 Å).

Main lines, most intense first (2θ = 15–90°):
Position (°2θ), d_spacing, I/Imax
29.9, 2.990, 100
20.3, 4.365, 84
25.2, 3.532, 71
45.5, 1.994, 44
42.7, 2.119, 38
33.0, 2.716, 36
20.9, 4.249, 32
45.2, 2.006, 32
74.4, 1.276, 25
66.4, 1.409, 21
61.8, 1.500, 20
47.8, 1.903, 20

Crystal structure
```
Mg2BPb
1.0
4.5166 0.0000 0.0000
0.0000 4.5166 0.0000
0.0000 0.0000 16.9963
Mg B Pb
8 4 4
direct
0.1824 0.2500 0.1250
0.2500 0.6824 0.3750
0.2500 0.8176 0.8750
0.3176 0.2500 0.6250
0.6824 0.7500 0.6250
0.7500 0.1824 0.8750
0.7500 0.3176 0.3750
0.8176 0.7500 0.1250
0.0000 0.0000 0.0000
0.0000 0.5000 0.2500
0.5000 0.0000 0.7500
0.5000 0.5000 0.5000
0.0000 0.0000 0.5000
0.0000 0.5000 0.7500
0.5000 0.0000 0.2500
0.5000 0.5000 0.0000
```

(9)
Structure and simulated X-ray diffraction stick pattern of TaSi2Tc2 (a PBE-relaxed structure; Cu Kα, 1.54184 Å).

Main lines, most intense first (2θ = 15–90°):
Position (°2θ), d_spacing, I/Imax
41.1, 2.195, 100
35.2, 2.548, 72
42.0, 2.150, 71
39.9, 2.262, 60
28.8, 3.104, 32
77.4, 1.233, 31
36.6, 2.454, 28
18.1, 4.908, 28
65.0, 1.434, 26
61.9, 1.500, 22
59.6, 1.552, 19
25.7, 3.471, 16

Crystal structure
```
TaSi2Tc2
1.0
6.9411 0.0000 0.0000
0.0000 6.9411 0.0000
0.0000 0.0000 2.9814
Ta Si Tc
2 4 4
direct
0.0000 0.0000 0.0000
0.5000 0.5000 0.0000
0.1393 0.3607 0.0000
0.3607 0.8607 0.0000
0.6393 0.1393 0.0000
0.8607 0.6393 0.0000
0.1532 0.6532 0.5000
0.3468 0.1532 0.5000
0.6532 0.8468 0.5000
0.8468 0.3468 0.5000
```

(10)
Structure and simulated X-ray diffraction stick pattern of Rb5Rh2O5 (a PBE-relaxed structure; Cu Kα, 1.54184 Å).

Main lines, most intense first (2θ = 15–90°):
Position (°2θ), d_spacing, I/Imax
29.4, 3.037, 100
28.0, 3.189, 84
30.2, 2.956, 44
30.4, 2.944, 43
45.3, 2.001, 23
41.3, 2.184, 22
54.1, 1.695, 21
38.6, 2.333, 17
16.1, 5.507, 15
51.6, 1.772, 13
49.9, 1.828, 12
17.3, 5.123, 11

Crystal structure
```
Rb5Rh2O5
1.0
4.0014 0.0000 0.0000
1.9670 6.9604 0.0000
0.0096 0.9598 10.2467
Rb Rh O
5 2 5
direct
0.0000 0.0000 0.0000
0.1224 0.7510 0.4452
0.2514 0.4867 0.8033
0.7405 0.5257 0.1635
0.8692 0.2583 0.5305
0.4193 0.1616 0.2224
0.5650 0.8653 0.7135
0.0476 0.9006 0.7227
0.3298 0.3402 0.3463
0.3623 0.2813 0.0512
0.5491 0.8959 0.2382
0.6891 0.6139 0.6354
```

(11)
Structure and simulated X-ray diffraction stick pattern of Hf7MoPt2 (a PBE-relaxed structure; Cu Kα, 1.54184 Å).

Main lines, most intense first (2θ = 15–90°):
Position (°2θ), d_spacing, I/Imax
36.2, 2.482, 100
31.2, 2.865, 91
52.1, 1.755, 71
62.0, 1.496, 39
88.0, 1.110, 33
65.1, 1.433, 24
85.2, 1.139, 17
25.4, 3.509, 16
17.9, 4.963, 12
76.8, 1.241, 11
44.7, 2.026, 7
40.6, 2.220, 6

Crystal structure
```
Hf7MoPt2
1.0
0.0000 4.9630 4.9630
4.9630 0.0000 4.9630
4.9630 4.9630 0.0000
Hf Mo Pt
7 1 2
direct
0.0000 0.0000 0.0000
0.2535 0.2535 0.7465
0.2535 0.7465 0.2535
0.2535 0.7465 0.7465
0.7465 0.2535 0.2535
0.7465 0.2535 0.7465
0.7465 0.7465 0.2535
0.5000 0.5000 0.5000
0.2500 0.2500 0.2500
0.7500 0.7500 0.7500
```

(12)
Structure and simulated X-ray diffraction stick pattern of Tl5Sn2Au4 (a PBE-relaxed structure; Cu Kα, 1.54184 Å).

Main lines, most intense first (2θ = 15–90°):
Position (°2θ), d_spacing, I/Imax
35.1, 2.559, 100
30.7, 2.914, 71
39.4, 2.284, 41
40.4, 2.230, 39
37.8, 2.379, 32
33.5, 2.672, 29
34.4, 2.604, 24
35.9, 2.505, 22
34.3, 2.617, 20
56.1, 1.640, 20
33.7, 2.661, 20
67.5, 1.388, 17

Crystal structure
```
Tl5Sn2Au4
1.0
11.1833 -1.6398 0.0000
11.1833 1.6398 0.0000
-2.5296 0.0000 7.8512
Tl Sn Au
5 2 4
direct
0.0000 0.0000 0.0000
0.3449 0.3449 0.0922
0.3760 0.3760 0.7177
0.6240 0.6240 0.2823
0.6551 0.6551 0.9078
0.2257 0.2257 0.6495
0.7743 0.7743 0.3505
0.0919 0.0919 0.5522
0.4876 0.4876 0.3114
0.5124 0.5124 0.6886
0.9081 0.9081 0.4478
```